# 1
The following is a theoretical XRD peak list of Sc2Cr2Rh. It was derived from a crystal structure in Alexandria, relaxed with GGA-PBE, using Cu Ka.
Kinematic intensities with the Lorentz-polarization factor, no thermal factor.

Main lines, by intensity (15 to 90 degrees two-theta):
| 2θ/deg | I_rel |
| --- | --- |
| 35.45 | 100 |
| 38.36 | 88 |
| 46.01 | 51 |
| 20.47 | 50 |
| 41.63 | 45 |
| 63.78 | 36 |
| 50.85 | 28 |
| 81.81 | 22 |
| 40.92 | 21 |
| 28.87 | 20 |

Structural model:
a b c (Å): 6.237 6.237 4.338
angles (deg): 90.00 90.00 90.00
Fractional coordinates of all 10 atoms:
Sc 0.179 0.321 0.000
Sc 0.321 0.821 0.000
Sc 0.679 0.179 0.000
Sc 0.821 0.679 0.000
Cr 0.113 0.613 0.500
Cr 0.387 0.113 0.500
Cr 0.613 0.887 0.500
Cr 0.887 0.387 0.500
Rh 0.000 0.000 0.500
Rh 0.500 0.500 0.500


# 2
The following is a theoretical XRD peak list of ScCr4Rh. It was derived from a crystal structure in Alexandria, relaxed with GGA-PBE, using Cu Ka.
Kinematic intensities with the Lorentz-polarization factor, no thermal factor.

Main lines, by intensity (15 to 90 degrees two-theta):
| 2θ/deg | I_rel |
| --- | --- |
| 43.62 | 100 |
| 36.94 | 39 |
| 45.67 | 30 |
| 71.19 | 28 |
| 78.65 | 21 |
| 66.57 | 13 |
| 25.89 | 10 |
| 22.38 | 6 |
| 60.13 | 3 |
| 58.46 | 2 |

Structural model:
a b c (Å): 4.866 4.866 4.866
angles (deg): 60.00 60.00 60.00
Fractional coordinates of all 6 atoms:
Sc 0.000 0.000 0.000
Cr 0.119 0.627 0.627
Cr 0.627 0.119 0.627
Cr 0.627 0.627 0.119
Cr 0.627 0.627 0.627
Rh 0.250 0.250 0.250


# 3
The following is a theoretical XRD peak list of CrSiRh6. It was derived from a crystal structure in Alexandria, relaxed with GGA-PBE, using Cu Ka.
Kinematic intensities with the Lorentz-polarization factor, no thermal factor.

Main lines, by intensity (15 to 90 degrees two-theta):
| 2θ/deg | I_rel |
| --- | --- |
| 41.12 | 100 |
| 46.88 | 35 |
| 83.08 | 25 |
| 70.73 | 17 |
| 49.73 | 13 |
| 68.46 | 11 |
| 34.95 | 10 |
| 89.22 | 10 |
| 87.36 | 8 |
| 36.77 | 5 |

Structural model:
a b c (Å): 3.876 3.876 14.667
angles (deg): 90.00 90.00 90.00
Fractional coordinates of all 16 atoms:
Cr 0.000 0.000 0.000
Cr 0.500 0.500 0.500
Si 0.000 0.000 0.500
Si 0.500 0.500 0.000
Rh 0.000 0.000 0.253
Rh 0.000 0.000 0.747
Rh 0.000 0.500 0.116
Rh 0.000 0.500 0.384
Rh 0.000 0.500 0.616
Rh 0.000 0.500 0.884
Rh 0.500 0.000 0.116
Rh 0.500 0.000 0.384
Rh 0.500 0.000 0.616
Rh 0.500 0.000 0.884
Rh 0.500 0.500 0.247
Rh 0.500 0.500 0.753


# 4
The following is a theoretical XRD peak list of Ta6CrRh. It was derived from a crystal structure in Alexandria, relaxed with GGA-PBE, using Cu Ka.
Kinematic intensities with the Lorentz-polarization factor, no thermal factor.

Main lines, by intensity (15 to 90 degrees two-theta):
| 2θ/deg | I_rel |
| --- | --- |
| 39.31 | 100 |
| 39.62 | 49 |
| 71.69 | 34 |
| 71.06 | 17 |
| 57.28 | 17 |
| 84.56 | 11 |
| 56.33 | 9 |
| 30.99 | 7 |
| 85.35 | 6 |
| 27.73 | 3 |

Structural model:
a b c (Å): 4.549 4.549 13.065
angles (deg): 90.00 90.00 90.00
Fractional coordinates of all 16 atoms:
Ta 0.000 0.000 0.247
Ta 0.000 0.000 0.753
Ta 0.000 0.500 0.120
Ta 0.000 0.500 0.380
Ta 0.000 0.500 0.620
Ta 0.000 0.500 0.880
Ta 0.500 0.000 0.120
Ta 0.500 0.000 0.380
Ta 0.500 0.000 0.620
Ta 0.500 0.000 0.880
Ta 0.500 0.500 0.253
Ta 0.500 0.500 0.747
Cr 0.000 0.000 0.000
Cr 0.500 0.500 0.500
Rh 0.000 0.000 0.500
Rh 0.500 0.500 0.000


# 5
The following is a theoretical XRD peak list of TaCr2Rh2. It was derived from a crystal structure in Alexandria, relaxed with GGA-PBE, using Cu Ka.
Kinematic intensities with the Lorentz-polarization factor, no thermal factor.

Main lines, by intensity (15 to 90 degrees two-theta):
| 2θ/deg | I_rel |
| --- | --- |
| 39.50 | 100 |
| 41.61 | 90 |
| 43.55 | 73 |
| 35.18 | 47 |
| 52.32 | 34 |
| 37.50 | 30 |
| 75.80 | 29 |
| 64.66 | 29 |
| 82.67 | 23 |
| 17.38 | 21 |

Structural model:
a b c (Å): 7.215 7.215 2.717
angles (deg): 90.00 90.00 90.00
Fractional coordinates of all 10 atoms:
Ta 0.000 0.000 0.000
Ta 0.500 0.500 0.000
Cr 0.115 0.385 0.000
Cr 0.385 0.885 0.000
Cr 0.615 0.115 0.000
Cr 0.885 0.615 0.000
Rh 0.178 0.678 0.500
Rh 0.322 0.178 0.500
Rh 0.678 0.822 0.500
Rh 0.822 0.322 0.500


# 6
The following is a theoretical XRD peak list of Cr2TcRh3. It was derived from a crystal structure in Alexandria, relaxed with GGA-PBE, using Cu Ka.
Kinematic intensities with the Lorentz-polarization factor, no thermal factor.

Main lines, by intensity (15 to 90 degrees two-theta):
| 2θ/deg | I_rel |
| --- | --- |
| 41.15 | 100 |
| 41.96 | 75 |
| 44.16 | 64 |
| 48.12 | 63 |
| 44.32 | 41 |
| 41.32 | 41 |
| 85.18 | 35 |
| 70.10 | 30 |
| 48.27 | 26 |
| 84.84 | 25 |

Structural model:
a b c (Å): 2.697 12.920 4.643
angles (deg): 90.00 90.00 90.00
Fractional coordinates of all 12 atoms:
Cr 0.250 0.087 0.089
Cr 0.250 0.413 0.089
Cr 0.750 0.587 0.911
Cr 0.750 0.913 0.911
Tc 0.250 0.750 0.749
Tc 0.750 0.250 0.251
Rh 0.250 0.250 0.754
Rh 0.250 0.582 0.405
Rh 0.250 0.918 0.405
Rh 0.750 0.082 0.595
Rh 0.750 0.418 0.595
Rh 0.750 0.750 0.246


# 7
The following is a theoretical XRD peak list of Cr3TcRh12. It was derived from a crystal structure in Alexandria, relaxed with GGA-PBE, using Cu Ka.
Kinematic intensities with the Lorentz-polarization factor, no thermal factor.

Main lines, by intensity (15 to 90 degrees two-theta):
| 2θ/deg | I_rel |
| --- | --- |
| 40.97 | 100 |
| 47.67 | 48 |
| 84.15 | 35 |
| 69.71 | 30 |
| 88.84 | 10 |
| 23.31 | 4 |
| 33.21 | 3 |
| 53.72 | 2 |
| 59.33 | 1 |
| 74.62 | 1 |

Structural model:
a b c (Å): 3.817 3.817 15.254
angles (deg): 90.00 90.00 90.00
Fractional coordinates of all 16 atoms:
Cr 0.000 0.000 0.000
Cr 0.000 0.000 0.245
Cr 0.000 0.000 0.755
Tc 0.000 0.000 0.500
Rh 0.000 0.500 0.125
Rh 0.000 0.500 0.375
Rh 0.000 0.500 0.625
Rh 0.000 0.500 0.875
Rh 0.500 0.000 0.125
Rh 0.500 0.000 0.375
Rh 0.500 0.000 0.625
Rh 0.500 0.000 0.875
Rh 0.500 0.500 0.000
Rh 0.500 0.500 0.250
Rh 0.500 0.500 0.500
Rh 0.500 0.500 0.750


# 8
The following is a theoretical XRD peak list of CrTcRh. It was derived from a crystal structure in Alexandria, relaxed with GGA-PBE, using Cu Ka.
Kinematic intensities with the Lorentz-polarization factor, no thermal factor.

Main lines, by intensity (15 to 90 degrees two-theta):
| 2θ/deg | I_rel |
| --- | --- |
| 40.96 | 100 |
| 41.65 | 96 |
| 48.07 | 93 |
| 70.33 | 38 |
| 84.30 | 23 |
| 85.68 | 22 |
| 25.95 | 15 |
| 84.70 | 11 |
| 85.16 | 11 |
| 88.81 | 10 |

Structural model:
a b c (Å): 2.644 3.788 8.127
angles (deg): 90.00 90.00 90.00
Fractional coordinates of all 6 atoms:
Cr 0.000 0.000 0.000
Cr 0.500 0.500 0.500
Tc 0.000 0.000 0.661
Tc 0.500 0.500 0.161
Rh 0.000 0.000 0.335
Rh 0.500 0.500 0.835